For Mg5AlH21O17, DFT lattice parameters and positions (GGA-PBE) gives the theoretical X-ray powder pattern in this record (Cu Kα (weighted mean of Kα1 and Kα2)).
No peak broadening, texture or thermal motion is included.

Crystal structure
Cell lengths 3.106, 7.801, 16.328 Å; angles 92.50, 90.13, 100.22 degrees
Space group P1 (No. 1)
Symmetry-distinct sites (fractional):
Mg: 0.000 0.000 0.000
Mg: 0.007 0.007 0.668
Mg: 0.492 0.975 0.500
Mg: 0.510 0.011 0.837
Mg: 0.990 0.975 0.332
Al: 0.488 0.985 0.166
H: 0.139 0.244 0.553
H: 0.140 0.239 0.225
H: 0.182 0.271 0.908
H: 0.258 0.514 0.733
H: 0.271 0.525 0.828
H: 0.406 0.725 0.254
H: 0.406 0.739 0.623
H: 0.432 0.744 0.941
H: 0.493 0.332 0.657
H: 0.521 0.488 0.180
H: 0.543 0.503 0.002
H: 0.574 0.249 0.082
H: 0.603 0.235 0.394
H: 0.691 0.472 0.270
H: 0.739 0.270 0.751
H: 0.768 0.493 0.617
H: 0.773 0.498 0.917
H: 0.841 0.731 0.108
H: 0.871 0.710 0.438
H: 0.946 0.759 0.777
H: 0.975 0.487 0.093
O: 0.055 0.111 0.219
O: 0.056 0.118 0.552
O: 0.070 0.520 0.781
O: 0.071 0.147 0.898
O: 0.417 0.478 0.242
O: 0.434 0.853 0.262
O: 0.440 0.861 0.612
O: 0.443 0.870 0.946
O: 0.466 0.445 0.630
O: 0.485 0.504 0.939
O: 0.547 0.121 0.074
O: 0.550 0.110 0.386
O: 0.589 0.167 0.720
O: 0.669 0.502 0.094
O: 0.924 0.861 0.116
O: 0.928 0.836 0.437
O: 0.954 0.884 0.777

Top 10 peaks for 2θ = 15–90°, sorted by position:
(0 2 0), 23.19°, 3.835 Å, intensity 100
(-1 1 3), 33.98°, 2.639 Å, intensity 36
(0 1 -6), 34.50°, 2.599 Å, intensity 55
(1 1 3), 37.78°, 2.381 Å, intensity 59
(-1 2 3), 38.36°, 2.347 Å, intensity 46
(0 2 -6), 39.78°, 2.266 Å, intensity 44
(1 2 3), 44.83°, 2.022 Å, intensity 40
(-1 3 3), 45.69°, 1.986 Å, intensity 43
(0 3 -6), 47.73°, 1.905 Å, intensity 37
(1 0 9), 59.55°, 1.552 Å, intensity 27

---

For MgAl4H12O12, DFT lattice parameters and positions (GGA-PBE) gives the theoretical X-ray powder pattern in this record (Cu Kα (weighted mean of Kα1 and Kα2)).
No peak broadening, texture or thermal motion is included.

Crystal structure
Cell lengths 5.191, 7.063, 7.178 Å; angles 78.87, 69.71, 69.61 degrees
Space group P1 (No. 1)
Symmetry-distinct sites (fractional):
Mg: 0.000 0.000 0.000
Al: 0.395 0.284 0.886
Al: 0.431 0.905 0.215
Al: 0.885 0.452 0.727
Al: 0.960 0.752 0.375
H: 0.023 0.260 0.240
H: 0.137 0.647 0.830
H: 0.166 0.866 0.592
H: 0.207 0.822 0.770
H: 0.234 0.385 0.369
H: 0.247 0.103 0.662
H: 0.474 0.537 0.041
H: 0.500 0.769 0.693
H: 0.572 0.425 0.541
H: 0.629 0.129 0.368
H: 0.694 0.913 0.828
H: 0.855 0.600 0.129
O: 0.084 0.517 0.874
O: 0.145 0.899 0.454
O: 0.153 0.485 0.466
O: 0.163 0.190 0.772
O: 0.184 0.180 0.140
O: 0.245 0.774 0.133
O: 0.596 0.408 0.973
O: 0.642 0.004 0.932
O: 0.666 0.333 0.635
O: 0.678 0.011 0.297
O: 0.718 0.727 0.649
O: 0.741 0.672 0.251

Top 10 peaks for 2θ = 15–90°, sorted by position:
(0 1 1), 18.06°, 4.911 Å, intensity 100
(0 1 -1), 19.62°, 4.525 Å, intensity 12
(1 0 1), 19.72°, 4.503 Å, intensity 16
(0 2 0), 27.02°, 3.299 Å, intensity 8
(1 1 -2), 38.71°, 2.326 Å, intensity 28
(1 -2 1), 39.10°, 2.304 Å, intensity 25
(2 2 2), 39.68°, 2.271 Å, intensity 31
(1 0 -3), 50.40°, 1.810 Å, intensity 13
(1 -3 0), 51.12°, 1.787 Å, intensity 8
(2 3 3), 51.89°, 1.762 Å, intensity 13